Entry 1:
For VCo3, a crystal structure in the Materials Project, relaxed with GGA-PBE gives the theoretical PXRD pattern in this record (Cu Kα X-rays).
No peak broadening, texture or thermal motion is included.

Atomic structure:
```
data_VCo3
_symmetry_space_group_name_H-M 'P 1'
_symmetry_Int_Tables_number 1
_cell_length_a 3.5200
_cell_length_b 3.5200
_cell_length_c 3.5200
_cell_angle_alpha 90.00
_cell_angle_beta 90.00
_cell_angle_gamma 90.00
loop_
_symmetry_equiv_pos_as_xyz
'x,y,z'
loop_
_atom_site_label
_atom_site_fract_x
_atom_site_fract_y
_atom_site_fract_z
V1 0.0000 0.0000 0.0000
Co1 0.0000 0.5000 0.5000
Co2 0.5000 0.0000 0.5000
Co3 0.5000 0.5000 0.0000
```

Main lines, most intense first (5° ≤ 2θ ≤ 70°):
| two_theta | I/Imax |
| --- | --- |
| 44.59 | 100 |
| 51.96 | 46 |
| 25.30 | 1 |
| 36.09 | 1 |

Entry 2:
For Ba6GdRe3O18, a crystal structure in the Materials Project, relaxed with GGA-PBE gives the theoretical PXRD pattern in this record (Cu Kα X-rays).
No peak broadening, texture or thermal motion is included.

Atomic structure:
```
data_Ba6GdRe3O18
_symmetry_space_group_name_H-M 'P 1'
_symmetry_Int_Tables_number 1
_cell_length_a 10.2282
_cell_length_b 10.2282
_cell_length_c 10.1097
_cell_angle_alpha 99.70
_cell_angle_beta 99.70
_cell_angle_gamma 119.99
loop_
_symmetry_equiv_pos_as_xyz
'x,y,z'
loop_
_atom_site_label
_atom_site_fract_x
_atom_site_fract_y
_atom_site_fract_z
Ba1 0.0414 0.3631 0.1243
Ba2 0.1293 0.1293 0.3859
Ba3 0.2022 0.5362 0.6062
Ba4 0.2802 0.2802 0.8753
Ba5 0.3631 0.0414 0.1243
Ba6 0.4638 0.7978 0.3938
Ba7 0.5362 0.2022 0.6062
Ba8 0.6369 0.9586 0.8757
Ba9 0.7198 0.7198 0.1247
Ba10 0.7978 0.4638 0.3938
Ba11 0.8707 0.8707 0.6141
Ba12 0.9586 0.6369 0.8757
Gd1 0.3332 0.6668 0.0000
Gd2 0.6668 0.3332 0.0000
Re1 0.0892 0.7593 0.2685
Re2 0.2407 0.9108 0.7315
Re3 0.4198 0.4198 0.2684
Re4 0.5802 0.5802 0.7316
Re5 0.7593 0.0892 0.2685
Re6 0.9108 0.2407 0.7315
O1 0.0330 0.2112 0.6303
O2 0.0468 0.8573 0.1410
O3 0.0554 0.7206 0.6314
O4 0.1076 0.4413 0.8609
O5 0.1209 0.6307 0.3620
O6 0.1427 0.9532 0.8590
O7 0.2002 0.7124 0.1388
O8 0.2112 0.0330 0.6303
O9 0.2366 0.2366 0.1408
O10 0.2794 0.9446 0.3686
O11 0.2876 0.7998 0.8612
O12 0.3007 0.4570 0.3687
O13 0.3693 0.8791 0.6380
O14 0.3805 0.5342 0.1390
O15 0.3893 0.3893 0.6372
O16 0.4413 0.1076 0.8609
O17 0.4570 0.3007 0.3687
O18 0.4658 0.6195 0.8610
O19 0.5342 0.3805 0.1390
O20 0.5430 0.6993 0.6313
O21 0.5587 0.8924 0.1391
O22 0.6107 0.6107 0.3628
O23 0.6195 0.4658 0.8610
O24 0.6307 0.1209 0.3620
O25 0.6993 0.5430 0.6313
O26 0.7124 0.2002 0.1388
O27 0.7206 0.0554 0.6314
O28 0.7634 0.7634 0.8592
O29 0.7888 0.9670 0.3697
O30 0.7998 0.2876 0.8612
O31 0.8573 0.0468 0.1410
O32 0.8791 0.3693 0.6380
O33 0.8924 0.5587 0.1391
O34 0.9446 0.2794 0.3686
O35 0.9532 0.1427 0.8590
O36 0.9670 0.7888 0.3697
```

Main lines, most intense first (5° ≤ 2θ ≤ 70°):
| two_theta | I/Imax |
| --- | --- |
| 27.98 | 100 |
| 30.27 | 90 |
| 41.69 | 51 |
| 52.38 | 34 |
| 53.77 | 18 |
| 66.65 | 17 |
| 62.96 | 16 |
| 48.02 | 16 |

Entry 3:
For Lu11Ge10, a crystal structure in the Materials Project, relaxed with GGA-PBE gives the theoretical PXRD pattern in this record (Cu Kα X-rays).
No peak broadening, texture or thermal motion is included.

Atomic structure:
```
data_Lu11Ge10
_symmetry_space_group_name_H-M 'P 1'
_symmetry_Int_Tables_number 1
_cell_length_a 11.0218
_cell_length_b 11.0218
_cell_length_c 11.0218
_cell_angle_alpha 121.86
_cell_angle_beta 121.86
_cell_angle_gamma 86.81
loop_
_symmetry_equiv_pos_as_xyz
'x,y,z'
loop_
_atom_site_label
_atom_site_fract_x
_atom_site_fract_y
_atom_site_fract_z
Lu1 0.0575 0.3101 0.7474
Lu2 0.1028 0.4272 0.3244
Lu3 0.1028 0.7785 0.6756
Lu4 0.1605 0.1605 0.0000
Lu5 0.2215 0.8972 0.3244
Lu6 0.3101 0.0575 0.7474
Lu7 0.3101 0.5627 0.2526
Lu8 0.3231 0.3231 0.6462
Lu9 0.3231 0.6769 0.0000
Lu10 0.4272 0.1028 0.3244
Lu11 0.4373 0.6899 0.7474
Lu12 0.5627 0.3101 0.2526
Lu13 0.5728 0.8972 0.6756
Lu14 0.6769 0.3231 0.0000
Lu15 0.6769 0.6769 0.3538
Lu16 0.6899 0.4373 0.7474
Lu17 0.6899 0.9425 0.2526
Lu18 0.7785 0.1028 0.6756
Lu19 0.8395 0.8395 0.0000
Lu20 0.8972 0.2215 0.3244
Lu21 0.8972 0.5728 0.6756
Lu22 0.9425 0.6899 0.2526
Ge1 0.0296 0.0296 0.4194
Ge2 0.0296 0.6102 0.0000
Ge3 0.1212 0.1212 0.2423
Ge4 0.1212 0.8788 0.0000
Ge5 0.1406 0.5000 0.6406
Ge6 0.2500 0.7500 0.5000
Ge7 0.3842 0.3842 0.0000
Ge8 0.3898 0.3898 0.4194
Ge9 0.3898 0.9704 0.0000
Ge10 0.5000 0.1406 0.6406
Ge11 0.5000 0.8594 0.3594
Ge12 0.6102 0.0296 0.0000
Ge13 0.6102 0.6102 0.5806
Ge14 0.6158 0.6158 0.0000
Ge15 0.7500 0.2500 0.5000
Ge16 0.8594 0.5000 0.3594
Ge17 0.8788 0.1212 0.0000
Ge18 0.8788 0.8788 0.7577
Ge19 0.9704 0.3898 0.0000
Ge20 0.9704 0.9704 0.5806
```

Main lines, most intense first (5° ≤ 2θ ≤ 70°):
| two_theta | I/Imax |
| --- | --- |
| 33.65 | 100 |
| 34.55 | 81 |
| 35.56 | 55 |
| 37.72 | 43 |
| 35.34 | 38 |
| 33.46 | 37 |
| 34.69 | 36 |
| 25.56 | 22 |

Entry 4:
For Mg14SnC, a crystal structure in the Materials Project, relaxed with GGA-PBE gives the theoretical PXRD pattern in this record (Cu Kα X-rays).
No peak broadening, texture or thermal motion is included.

Atomic structure:
```
data_Mg14SnC
_symmetry_space_group_name_H-M 'P 1'
_symmetry_Int_Tables_number 1
_cell_length_a 6.2555
_cell_length_b 6.2555
_cell_length_c 10.0251
_cell_angle_alpha 90.00
_cell_angle_beta 90.00
_cell_angle_gamma 120.00
loop_
_symmetry_equiv_pos_as_xyz
'x,y,z'
loop_
_atom_site_label
_atom_site_fract_x
_atom_site_fract_y
_atom_site_fract_z
Mg1 0.0000 0.0000 0.2487
Mg2 0.0000 0.0000 0.7513
Mg3 0.0080 0.5040 0.2309
Mg4 0.0080 0.5040 0.7691
Mg5 0.3257 0.1629 0.0000
Mg6 0.3355 0.1677 0.5000
Mg7 0.4960 0.5040 0.2309
Mg8 0.4960 0.5040 0.7691
Mg9 0.4960 0.9920 0.2309
Mg10 0.4960 0.9920 0.7691
Mg11 0.8323 0.1677 0.5000
Mg12 0.8323 0.6645 0.5000
Mg13 0.8371 0.1629 0.0000
Mg14 0.8371 0.6743 0.0000
Sn1 0.3333 0.6667 0.5000
C1 0.3333 0.6667 0.0000
```

Main lines, most intense first (5° ≤ 2θ ≤ 70°):
| two_theta | I/Imax |
| --- | --- |
| 37.75 | 100 |
| 18.62 | 36 |
| 33.07 | 26 |
| 35.83 | 24 |
| 8.82 | 21 |
| 59.07 | 17 |
| 65.65 | 16 |
| 49.55 | 16 |

Entry 5:
For La3Co2S7, a crystal structure in the Materials Project, relaxed with GGA-PBE gives the theoretical PXRD pattern in this record (Cu Kα X-rays).
No peak broadening, texture or thermal motion is included.

Atomic structure:
```
data_La3Co2S7
_symmetry_space_group_name_H-M 'P 1'
_symmetry_Int_Tables_number 1
_cell_length_a 10.1178
_cell_length_b 10.1178
_cell_length_c 5.9451
_cell_angle_alpha 90.00
_cell_angle_beta 90.00
_cell_angle_gamma 120.00
loop_
_symmetry_equiv_pos_as_xyz
'x,y,z'
loop_
_atom_site_label
_atom_site_fract_x
_atom_site_fract_y
_atom_site_fract_z
La1 0.1429 0.3830 0.0000
La2 0.2401 0.8571 0.0000
La3 0.3830 0.2401 0.5000
La4 0.6170 0.7599 0.0000
La5 0.7599 0.1429 0.5000
La6 0.8571 0.6170 0.5000
Co1 0.0000 0.0000 0.2623
Co2 0.0000 0.0000 0.7623
Co3 0.3333 0.6667 0.4053
Co4 0.6667 0.3333 0.9053
S1 0.0764 0.2051 0.5155
S2 0.0977 0.5844 0.2750
S3 0.1287 0.9236 0.5155
S4 0.2051 0.1287 0.0155
S5 0.3333 0.6667 0.7766
S6 0.4156 0.5133 0.2750
S7 0.4867 0.9023 0.2750
S8 0.5133 0.0977 0.7750
S9 0.5844 0.4867 0.7750
S10 0.6667 0.3333 0.2766
S11 0.7949 0.8713 0.5155
S12 0.8713 0.0764 0.0155
S13 0.9023 0.4156 0.7750
S14 0.9236 0.7949 0.0155
```

Main lines, most intense first (5° ≤ 2θ ≤ 70°):
| two_theta | I/Imax |
| --- | --- |
| 25.25 | 100 |
| 34.20 | 45 |
| 26.92 | 39 |
| 40.08 | 38 |
| 36.53 | 36 |
| 40.79 | 33 |
| 23.08 | 32 |
| 18.03 | 31 |

Entry 6:
For EuLuO3, a crystal structure in the Materials Project, relaxed with GGA-PBE gives the theoretical PXRD pattern in this record (Cu Kα X-rays).
No peak broadening, texture or thermal motion is included.

Atomic structure:
```
data_EuLuO3
_symmetry_space_group_name_H-M 'P 1'
_symmetry_Int_Tables_number 1
_cell_length_a 4.2576
_cell_length_b 4.2576
_cell_length_c 4.2576
_cell_angle_alpha 90.00
_cell_angle_beta 90.00
_cell_angle_gamma 90.00
loop_
_symmetry_equiv_pos_as_xyz
'x,y,z'
loop_
_atom_site_label
_atom_site_fract_x
_atom_site_fract_y
_atom_site_fract_z
Eu1 0.0000 0.0000 0.0000
Lu1 0.5000 0.5000 0.5000
O1 0.0000 0.5000 0.5000
O2 0.5000 0.0000 0.5000
O3 0.5000 0.5000 0.0000
```

Main lines, most intense first (5° ≤ 2θ ≤ 70°):
| two_theta | I/Imax |
| --- | --- |
| 29.67 | 100 |
| 52.66 | 41 |
| 42.46 | 28 |
| 69.86 | 18 |
| 61.61 | 18 |
| 20.86 | 2 |
| 47.77 | 1 |